Theoretical powder diffraction line list
Compound: Co3P2O16
Radiation: Cu Kα (λ = 1.5418 Å)
Structure: the GGA+U geometry in Alexandria
Neutral-atom scattering factors, no anomalous dispersion.

Crystal structure
abc: 7.876 7.876 4.393
angles: 100.58 100.58 101.54
Fractional coordinates of all 21 atoms:
Co (0.000, 0.000, 0.000)
Co (0.375, 0.625, 0.000)
Co (0.625, 0.375, 0.000)
P (0.320, 0.320, 0.346)
P (0.680, 0.680, 0.654)
O (0.051, 0.824, 0.169)
O (0.168, 0.168, 0.360)
O (0.176, 0.949, 0.831)
O (0.193, 0.626, 0.737)
O (0.239, 0.455, 0.183)
O (0.374, 0.807, 0.263)
O (0.413, 0.413, 0.709)
O (0.455, 0.239, 0.183)
O (0.545, 0.761, 0.817)
O (0.587, 0.587, 0.291)
O (0.626, 0.193, 0.737)
O (0.761, 0.545, 0.817)
O (0.807, 0.374, 0.263)
O (0.824, 0.051, 0.169)
O (0.832, 0.832, 0.640)
O (0.949, 0.176, 0.831)

Top 10 peaks for 10 to 90 degrees two-theta, in order of falling intensity:
14.52 deg, rel. 100.0; 18.62 deg, rel. 86.8; 30.12 deg, rel. 59.3; 21.13 deg, rel. 49.7; 23.81 deg, rel. 48.4; 11.78 deg, rel. 47.3; 23.79 deg, rel. 39.7; 32.22 deg, rel. 34.8; 37.59 deg, rel. 26.4; 36.39 deg, rel. 26.3